Starting from a cell relaxed with GGA+U, the X-ray powder pattern of Ni3ClF5 was computed for Cu Kα (weighted mean of Kα1 and Kα2).
Peak positions follow from Bragg's law for the DFT cell and can differ from measured ones.

```
18
Lattice="3.323 -10.761 0.000 3.323 10.761 0.000 0.000 0.000 3.209" Properties=species:S:1:pos:R:3 pbc="T T T"
Ni 0.000 0.000 0.000
Ni 3.323 7.236 1.605
Ni 3.323 3.925 0.000
Ni 3.323 0.000 1.605
Ni 3.323 -3.925 0.000
Ni 3.323 -7.236 1.605
Cl 3.323 2.278 1.605
Cl 3.323 -2.278 1.605
F 1.265 3.701 0.000
F 3.323 9.380 1.605
F 3.323 5.177 1.605
F 2.013 0.000 0.000
F 1.265 -3.701 0.000
F 5.381 3.701 0.000
F 4.633 0.000 0.000
F 3.323 -5.177 1.605
F 3.323 -9.380 1.605
F 5.381 -3.701 0.000
```

Top 10 peaks for 10 to 80 degrees two-theta, most intense first:
| Position (°2θ) | intensity |
| --- | --- |
| 26.83 | 100.0 |
| 33.43 | 92.4 |
| 24.82 | 81.3 |
| 49.47 | 59.4 |
| 51.74 | 55.1 |
| 64.24 | 41.7 |
| 57.41 | 25.5 |
| 39.02 | 19.1 |
| 55.29 | 17.3 |
| 37.61 | 16.5 |